This entry pairs a crystal structure of Nd2Dy2Ho4Er with its simulated X-ray powder pattern. Radiation: λ = 1.5418 Å (Cu Kα). Structure: a crystal structure in Alexandria, relaxed with PBE.

Structural model:
a = 18.633 Å, b = 3.592 Å, c = 9.544 Å
α = 90.00°, β = 115.70°, γ = 90.00°
Space group C2/m (No. 12)
Inequivalent atoms, fractional coordinates:
Nd  0.165  0.000  0.499 x4
Dy  0.147  0.500  0.162 x4
Ho  0.019  0.000  0.835 x4
Ho  0.185  0.500  0.836 x4
Er  0.000  0.500  0.500 x2

The 6 most intense peaks (2θ = 5–70°), most intense first:
31.96°, I 100.0, (3 1 -2); 33.66°, I 91.9, (3 1 1); 31.20°, I 51.4, (0 0 3); 60.91°, I 46.0, (0 2 3); 50.89°, I 39.5, (0 2 0); 28.94°, I 36.5, (6 0 -1)